(1)
MnTl3: calculated powder X-ray diffraction pattern (Cu Kα (weighted mean of Kα1 and Kα2)), based on the GGA-PBE geometry in the Materials Project.
Intensities are scaled so that the largest is 100.

Main lines, by intensity (2θ from 10° to 90°):
33.04°, I = 100
39.32°, I = 31
67.32°, I = 26
54.57°, I = 24
36.29°, I = 19
63.24°, I = 16
21.36°, I = 14
69.31°, I = 12
56.82°, I = 11
17.92°, I = 5

Structure:
abc: 4.583 4.583 9.901
angles: 90.00 90.00 90.00
Space group I4/mmm (No. 139)
Unique sites:
Mn: 0.000 0.000 0.000 [2 per cell]
Tl: 0.000 0.000 0.500 [2 per cell]
Tl: 0.000 0.500 0.250 [4 per cell]

***

(2)
U2SbS2: calculated powder X-ray diffraction pattern (Cu Kα (weighted mean of Kα1 and Kα2)), based on the GGA-PBE geometry in the Materials Project.
Intensities are scaled so that the largest is 100.

Main lines, by intensity (2θ from 10° to 90°):
31.38°, I = 100
10.92°, I = 88
42.22°, I = 75
27.53°, I = 58
53.53°, I = 38
44.96°, I = 37
33.32°, I = 27
81.04°, I = 24
31.87°, I = 23
16.41°, I = 19

Structure:
abc: 2.851 2.851 16.201
angles: 90.00 90.00 90.00
Space group P4/mmm (No. 123)
Unique sites:
U: 0.000 0.000 0.198 [2 per cell]
Sb: 0.000 0.000 0.000 [1 per cell]
S: 0.000 0.000 0.356 [2 per cell]

***

(3)
CaZr4P6O24: calculated powder X-ray diffraction pattern (Cu Kα (weighted mean of Kα1 and Kα2)), based on the GGA-PBE geometry in the Materials Project.
Intensities are scaled so that the largest is 100.

Main lines, by intensity (2θ from 10° to 90°):
19.85°, I = 100
23.04°, I = 93
30.79°, I = 92
19.28°, I = 82
27.81°, I = 57
34.74°, I = 40
54.26°, I = 30
13.80°, I = 30
47.09°, I = 28
34.40°, I = 26

Structure:
abc: 8.9462 8.9462 22.9036
angles: 90.00 90.00 120.00
Space group R-3 (No. 148, hexagonal axes)
Unique sites:
Ca: 0.0000 0.0000 0.0000 [3 per cell]
Zr: 0.0000 0.0000 0.1488 [6 per cell]
Zr: 0.0000 0.0000 0.3605 [6 per cell]
P: 0.0098 0.7165 0.7472 [18 per cell]
O: 0.0055 0.8093 0.8038 [18 per cell]
O: 0.0132 0.1833 0.9168 [18 per cell]
O: 0.0387 0.8272 0.4095 [18 per cell]
O: 0.0403 0.8320 0.6939 [18 per cell]

***

(4)
MgClO: calculated powder X-ray diffraction pattern (Cu Kα (weighted mean of Kα1 and Kα2)), based on the GGA-PBE geometry in the Materials Project.
Intensities are scaled so that the largest is 100.

Main lines, by intensity (2θ from 10° to 90°):
32.47°, I = 100
53.05°, I = 42
43.84°, I = 41
39.31°, I = 34
37.80°, I = 23
18.64°, I = 22
66.97°, I = 20
30.55°, I = 17
54.45°, I = 15
63.59°, I = 12

Structure:
abc: 3.4523 3.4523 14.2816
angles: 90.00 90.00 120.00
Space group R3m (No. 160, hexagonal axes)
Unique sites:
Mg: 0.0000 0.0000 0.0000 [3 per cell]
Cl: 0.0000 0.0000 0.4558 [3 per cell]
O: 0.0000 0.0000 0.6306 [3 per cell]

***

(5)
BaCd11: calculated powder X-ray diffraction pattern (Cu Kα (weighted mean of Kα1 and Kα2)), based on the GGA-PBE geometry in the Materials Project.
Intensities are scaled so that the largest is 100.

Main lines, by intensity (2θ from 10° to 90°):
38.47°, I = 100
32.37°, I = 96
32.69°, I = 72
40.05°, I = 41
34.84°, I = 34
58.14°, I = 34
37.90°, I = 33
28.60°, I = 33
37.14°, I = 19
68.50°, I = 18

Structure:
abc: 12.251 12.251 7.901
angles: 90.00 90.00 90.00
Space group I4_1/amd (No. 141, origin choice 2)
Unique sites:
Ba: 0.000 0.250 0.375 [4 per cell]
Cd: 0.000 0.000 0.000 [8 per cell]
Cd: 0.000 0.250 0.875 [4 per cell]
Cd: 0.121 0.045 0.676 [32 per cell]

***

(6)
Bi4Te2Br2O9: calculated powder X-ray diffraction pattern (Cu Kα (weighted mean of Kα1 and Kα2)), based on the GGA-PBE geometry in the Materials Project.
Intensities are scaled so that the largest is 100.

Main lines, by intensity (2θ from 10° to 90°):
29.07°, I = 100
32.14°, I = 36
55.42°, I = 34
46.09°, I = 20
49.50°, I = 19
24.35°, I = 11
42.63°, I = 10
36.62°, I = 10
60.25°, I = 9
87.91°, I = 8

Structure:
abc: 5.570 5.570 9.817
angles: 90.00 90.00 90.00
Space group P4mm (No. 99)
Unique sites:
Bi: 0.000 0.000 0.000 [1 per cell]
Bi: 0.000 0.500 0.737 [2 per cell]
Bi: 0.500 0.500 0.988 [1 per cell]
Te: 0.000 0.000 0.442 [1 per cell]
Te: 0.500 0.500 0.491 [1 per cell]
Br: 0.000 0.500 0.175 [2 per cell]
O: 0.231 0.231 0.533 [4 per cell]
O: 0.244 0.244 0.872 [4 per cell]
O: 0.500 0.500 0.682 [1 per cell]

***

(7)
ZnAu: calculated powder X-ray diffraction pattern (Cu Kα (weighted mean of Kα1 and Kα2)), based on the GGA-PBE geometry in the Materials Project.
Intensities are scaled so that the largest is 100.

Main lines, by intensity (2θ from 10° to 90°):
39.91°, I = 100
72.48°, I = 34
27.93°, I = 28
57.72°, I = 17
86.10°, I = 11
65.32°, I = 11
49.42°, I = 8

Structure:
abc: 3.194 3.194 3.194
angles: 90.00 90.00 90.00
Space group Pm-3m (No. 221)
Unique sites:
Zn: 0.000 0.000 0.000 [1 per cell]
Au: 0.500 0.500 0.500 [1 per cell]

***

(8)
Cs5Si3AgO9: calculated powder X-ray diffraction pattern (Cu Kα (weighted mean of Kα1 and Kα2)), based on the GGA-PBE geometry in the Materials Project.
Intensities are scaled so that the largest is 100.

Main lines, by intensity (2θ from 10° to 90°):
26.44°, I = 100
28.65°, I = 34
28.43°, I = 33
26.93°, I = 29
27.83°, I = 21
33.75°, I = 19
33.18°, I = 19
41.38°, I = 14
41.04°, I = 13
48.21°, I = 13

Structure:
abc: 9.893 6.620 11.797
angles: 90.00 93.82 90.00
Space group P2_1/m (No. 11)
Unique sites:
Cs: 0.039 0.250 0.398 [2 per cell]
Cs: 0.161 0.250 0.063 [2 per cell]
Cs: 0.226 0.750 0.858 [2 per cell]
Cs: 0.277 0.250 0.686 [2 per cell]
Cs: 0.452 0.250 0.381 [2 per cell]
Si: 0.057 0.750 0.210 [2 per cell]
Si: 0.246 0.750 0.435 [2 per cell]
Si: 0.370 0.750 0.201 [2 per cell]
Ag: 0.500 0.000 0.000 [2 per cell]
O: 0.024 0.044 0.825 [4 per cell]
O: 0.101 0.750 0.350 [2 per cell]
O: 0.209 0.750 0.147 [2 per cell]
O: 0.257 0.543 0.508 [4 per cell]
O: 0.371 0.750 0.341 [2 per cell]
O: 0.447 0.542 0.165 [4 per cell]

***

(9)
LiPr2Al: calculated powder X-ray diffraction pattern (Cu Kα (weighted mean of Kα1 and Kα2)), based on the GGA-PBE geometry in the Materials Project.
Intensities are scaled so that the largest is 100.

Main lines, by intensity (2θ from 10° to 90°):
33.47°, I = 100
23.50°, I = 78
59.83°, I = 37
54.17°, I = 32
41.30°, I = 24
48.06°, I = 18
80.16°, I = 16
75.30°, I = 15
70.32°, I = 11
84.95°, I = 9

Structure:
abc: 7.573 7.573 7.573
angles: 90.00 90.00 90.00
Space group Fm-3m (No. 225)
Unique sites:
Li: 0.000 0.000 0.000 [4 per cell]
Pr: 0.250 0.250 0.250 [8 per cell]
Al: 0.000 0.000 0.500 [4 per cell]